No. 1
For YScPb2Au2, a structure optimized by DFT (PBE) gives the calculated X-ray powder pattern in this record (λ = 1.5418 Å (Cu Kα)).

Principal peaks in the range 2θ = 10–80°, most intense first:
index, d (Å), I_rel
0 2 0, 2.381, 100
2 0 1, 3.888, 61
2 3 -5, 1.375, 35
2 2 1, 2.031, 33
4 2 -2, 1.684, 17
0 3 2, 1.545, 14

Cell and atoms:
Cell lengths 9.5253, 4.7617, 14.2835 Å; angles 90.00, 109.44, 90.00 degrees
Space group Pm (No. 6)
Asymmetric unit:
Y 0.0000 0.0000 0.0000 [1 per cell]
Y 0.1239 0.5000 0.7471 [1 per cell]
Y 0.2499 0.0000 0.4977 [1 per cell]
Y 0.5018 0.0000 0.9997 [1 per cell]
Sc 0.3761 0.5000 0.2495 [1 per cell]
Sc 0.6257 0.5000 0.7475 [1 per cell]
Sc 0.7490 0.0000 0.4973 [1 per cell]
Sc 0.8755 0.5000 0.2500 [1 per cell]
Pb 0.1265 0.0000 0.2514 [1 per cell]
Pb 0.2524 0.5000 0.0032 [1 per cell]
Pb 0.3780 0.0000 0.7485 [1 per cell]
Pb 0.5014 0.5000 0.4951 [1 per cell]
Pb 0.6264 0.0000 0.2503 [1 per cell]
Pb 0.7507 0.5000 0.9989 [1 per cell]
Pb 0.8700 0.0000 0.7440 [1 per cell]
Pb 0.9959 0.5000 0.4967 [1 per cell]
Au 0.0652 0.5000 0.1309 [1 per cell]
Au 0.1869 0.0000 0.8738 [1 per cell]
Au 0.3204 0.5000 0.6249 [1 per cell]
Au 0.4414 0.0000 0.3709 [1 per cell]
Au 0.5673 0.5000 0.1303 [1 per cell]
Au 0.6864 0.0000 0.8685 [1 per cell]
Au 0.8052 0.5000 0.6194 [1 per cell]
Au 0.9315 0.0000 0.3716 [1 per cell]

=====

No. 2
For Ni12W17, a structure optimized by DFT (PBE) gives the calculated X-ray powder pattern in this record (λ = 1.5418 Å (Cu Kα)).

Principal peaks in the range 2θ = 10–80°, most intense first:
index, d (Å), I_rel
4 1 1, 2.213, 100
3 3 2, 2.002, 42
5 5 0, 1.328, 28
4 3 1, 1.842, 25
3 2 1, 2.510, 24
6 3 3, 1.278, 20

Cell and atoms:
Cell lengths 9.3899, 9.3899, 9.3899 Å; angles 90.00, 90.00, 90.00 degrees
Space group I-43m (No. 217)
Asymmetric unit:
Ni 0.0492 0.3632 0.6368 [24 per cell]
W 0.0000 0.0000 0.0000 [2 per cell]
W 0.0964 0.0964 0.7032 [24 per cell]
W 0.1719 0.1719 0.1719 [8 per cell]

=====

No. 3
For HoSnF3, a structure optimized by DFT (PBE) gives the calculated X-ray powder pattern in this record (λ = 1.5418 Å (Cu Kα)).

Principal peaks in the range 2θ = 10–80°, most intense first:
index, d (Å), I_rel
1 2 1, 3.084, 100
1 2 3, 1.698, 22
0 4 2, 2.027, 22
0 4 0, 2.857, 21
1 6 1, 1.690, 18
0 0 2, 2.877, 17

Cell and atoms:
Cell lengths 4.7501, 11.4272, 5.7543 Å; angles 90.00, 90.00, 90.00 degrees
Space group Imma (No. 74)
Asymmetric unit:
Ho 0.0000 0.2500 0.0010 [4 per cell]
Sn 0.0000 0.0000 0.5000 [4 per cell]
F 0.0000 0.2500 0.3801 [4 per cell]
F 0.2500 0.1467 0.7500 [8 per cell]

=====

No. 4
For Dy2ErAl3NiAu2, a structure optimized by DFT (PBE) gives the calculated X-ray powder pattern in this record (λ = 1.5418 Å (Cu Kα)).

Principal peaks in the range 2θ = 10–80°, most intense first:
index, d (Å), I_rel
1 3 1, 2.685, 100
1 4 0, 2.463, 58
0 0 2, 3.571, 35
0 1 1, 6.186, 33
0 6 0, 2.062, 28
1 4 2, 2.028, 20

Cell and atoms:
Cell lengths 4.0735, 12.3620, 7.1470 Å; angles 90.00, 90.00, 90.00 degrees
Space group Amm2 (No. 38)
Asymmetric unit:
Dy 0.0000 0.2012 0.0000 [4 per cell]
Er 0.0000 0.0000 0.6026 [2 per cell]
Al 0.5000 0.0000 0.9773 [2 per cell]
Al 0.5000 0.1122 0.3140 [4 per cell]
Ni 0.0000 0.0000 0.2035 [2 per cell]
Au 0.5000 0.1652 0.7007 [4 per cell]

=====

No. 5
For Tb2ErGe5, a structure optimized by DFT (PBE) gives the calculated X-ray powder pattern in this record (λ = 1.5418 Å (Cu Kα)).

Principal peaks in the range 2θ = 10–80°, most intense first:
index, d (Å), I_rel
1 3 1, 2.662, 100
0 3 3, 1.993, 25
0 0 2, 3.451, 22
2 3 3, 1.442, 17
2 0 0, 2.091, 15
0 4 2, 2.259, 12

Cell and atoms:
Cell lengths 4.1816, 11.9425, 6.9102 Å; angles 90.00, 90.00, 90.00 degrees
Space group Amm2 (No. 38)
Asymmetric unit:
Tb 0.0000 0.1784 0.0000 [4 per cell]
Er 0.0000 0.0000 0.5356 [2 per cell]
Ge 0.5000 0.0000 0.9235 [2 per cell]
Ge 0.5000 0.1247 0.3059 [4 per cell]
Ge 0.5000 0.1662 0.6775 [4 per cell]

=====

No. 6
For CdCu2SiTe2S2, a structure optimized by DFT (PBE) gives the calculated X-ray powder pattern in this record (λ = 1.5418 Å (Cu Kα)).

Principal peaks in the range 2θ = 10–80°, most intense first:
index, d (Å), I_rel
0 2 2, 3.326, 100
2 0 2, 3.296, 97
2 2 4, 2.015, 82
2 2 2, 2.578, 38
4 2 2, 1.739, 27
2 4 2, 1.752, 27

Cell and atoms:
Cell lengths 8.1589, 8.2725, 11.1913 Å; angles 90.00, 90.00, 90.00 degrees
Space group Fmm2 (No. 42)
Asymmetric unit:
Cd 0.0000 0.0000 0.0000 [4 per cell]
Cu 0.2500 0.2500 0.2910 [8 per cell]
Si 0.0000 0.0000 0.5012 [4 per cell]
Te 0.0000 0.2304 0.6489 [8 per cell]
S 0.2154 0.0000 0.3839 [8 per cell]

=====

No. 7
For Cs2Er2AsP, a structure optimized by DFT (PBE) gives the calculated X-ray powder pattern in this record (λ = 1.5418 Å (Cu Kα)).

Principal peaks in the range 2θ = 10–80°, most intense first:
index, d (Å), I_rel
1 1 2, 2.972, 100
1 1 1, 3.313, 59
1 0 2, 3.744, 54
2 0 0, 2.443, 52
1 1 5, 1.932, 47
0 0 3, 3.885, 44

Cell and atoms:
Cell lengths 4.8868, 4.8868, 11.6539 Å; angles 90.00, 90.00, 90.00 degrees
Space group P4mm (No. 99)
Asymmetric unit:
Cs 0.0000 0.0000 0.0000 [1 per cell]
Cs 0.5000 0.5000 0.3830 [1 per cell]
Er 0.0000 0.5000 0.6901 [2 per cell]
As 0.5000 0.5000 0.8180 [1 per cell]
P 0.0000 0.0000 0.5831 [1 per cell]

=====

No. 8
For ZnGa2TeS3, a structure optimized by DFT (PBE) gives the calculated X-ray powder pattern in this record (λ = 1.5418 Å (Cu Kα)).

Principal peaks in the range 2θ = 10–80°, most intense first:
index, d (Å), I_rel
1 -1 1, 3.199, 100
-1 1 1, 3.225, 50
0 1 -1, 4.871, 41
2 0 -3, 1.909, 32
1 1 -2, 3.076, 26
0 1 -2, 2.987, 25

Cell and atoms:
Cell lengths 5.5041, 5.5723, 6.5230 Å; angles 112.52, 112.78, 92.09 degrees
Space group P1 (No. 1)
Asymmetric unit:
Zn 0.0000 0.0000 0.0000 [1 per cell]
Ga 0.5229 0.4825 0.0049 [1 per cell]
Ga 0.7854 0.2644 0.5225 [1 per cell]
Te 0.3810 0.8560 0.2987 [1 per cell]
S 0.1461 0.1294 0.7519 [1 per cell]
S 0.6415 0.6117 0.7512 [1 per cell]
S 0.8918 0.3740 0.2538 [1 per cell]

=====

No. 9
For GdTmCF2, a structure optimized by DFT (PBE) gives the calculated X-ray powder pattern in this record (λ = 1.5418 Å (Cu Kα)).

Principal peaks in the range 2θ = 10–80°, most intense first:
index, d (Å), I_rel
1 0 1, 2.807, 100
0 1 2, 2.223, 40
1 0 0, 3.134, 31
1 1 0, 1.809, 30
1 0 3, 1.746, 27
0 0 2, 3.154, 27

Cell and atoms:
Cell lengths 3.6189, 3.6189, 6.3081 Å; angles 90.00, 90.00, 120.00 degrees
Space group P3m1 (No. 156)
Asymmetric unit:
Gd 0.0000 0.0000 0.0000 [1 per cell]
Tm 0.3333 0.6667 0.5748 [1 per cell]
C 0.6667 0.3333 0.7857 [1 per cell]
F 0.0000 0.0000 0.4153 [1 per cell]
F 0.3333 0.6667 0.1870 [1 per cell]

=====

No. 10
For BaIr2F12, a structure optimized by DFT (PBE) gives the calculated X-ray powder pattern in this record (λ = 1.5418 Å (Cu Kα)).

Principal peaks in the range 2θ = 10–80°, most intense first:
index, d (Å), I_rel
1 1 1, 4.161, 100
1 1 2, 3.388, 87
0 1 2, 3.359, 76
0 1 -1, 3.711, 71
1 0 2, 3.134, 61
1 0 -1, 3.685, 60

Cell and atoms:
Cell lengths 4.8890, 5.1947, 8.5390 Å; angles 76.03, 78.88, 62.52 degrees
Space group P1 (No. 1)
Asymmetric unit:
Ba 0.0000 0.0000 0.0000 [1 per cell]
Ir 0.3176 0.3025 0.2542 [1 per cell]
Ir 0.4854 0.4966 0.6690 [1 per cell]
F 0.0548 0.7280 0.6578 [1 per cell]
F 0.1249 0.1396 0.4309 [1 per cell]
F 0.1867 0.6448 0.3439 [1 per cell]
F 0.3704 0.2856 0.8704 [1 per cell]
F 0.4525 0.9654 0.1470 [1 per cell]
F 0.4817 0.7746 0.7826 [1 per cell]
F 0.4951 0.4904 0.0655 [1 per cell]
F 0.4985 0.2028 0.5752 [1 per cell]
F 0.6238 0.6729 0.4726 [1 per cell]
F 0.7296 0.1155 0.3099 [1 per cell]
F 0.9137 0.2669 0.7079 [1 per cell]
F 0.9503 0.4927 0.1394 [1 per cell]

=====

No. 11
For CsTbZnO3, a structure optimized by DFT (PBE) gives the calculated X-ray powder pattern in this record (λ = 1.5418 Å (Cu Kα)).

Principal peaks in the range 2θ = 10–80°, most intense first:
index, d (Å), I_rel
0 2 2, 3.762, 100
1 1 2, 2.757, 83
1 3 1, 2.661, 67
0 0 4, 2.286, 57
0 2 0, 6.624, 54
0 4 0, 3.312, 54

Cell and atoms:
Cell lengths 3.5802, 13.2478, 9.1418 Å; angles 90.00, 90.00, 90.00 degrees
Space group Cmcm (No. 63)
Asymmetric unit:
Cs 0.0000 0.2252 0.2500 [4 per cell]
Tb 0.0000 0.5000 0.0000 [4 per cell]
Zn 0.0000 0.0523 0.7500 [4 per cell]
O 0.0000 0.1049 0.5540 [8 per cell]
O 0.0000 0.4674 0.7500 [4 per cell]

=====

No. 12
For Sc4AlAuC2, a structure optimized by DFT (PBE) gives the calculated X-ray powder pattern in this record (λ = 1.5418 Å (Cu Kα)).

Principal peaks in the range 2θ = 10–80°, most intense first:
index, d (Å), I_rel
1 0 3, 2.474, 100
1 0 0, 2.905, 33
1 0 2, 2.688, 26
1 0 1, 2.846, 23
1 0 6, 1.832, 22
1 1 0, 1.677, 20

Cell and atoms:
Cell lengths 3.3546, 3.3546, 14.1646 Å; angles 90.00, 90.00, 120.00 degrees
Space group P-6m2 (No. 187)
Asymmetric unit:
Sc 0.0000 0.0000 0.1566 [2 per cell]
Sc 0.6667 0.3333 0.3294 [2 per cell]
Al 0.0000 0.0000 0.5000 [1 per cell]
Au 0.6667 0.3333 0.0000 [1 per cell]
C 0.3333 0.6667 0.2389 [2 per cell]

=====

Copy entry 2 word for word.
For Ni12W17, a structure optimized by DFT (PBE) gives the calculated X-ray powder pattern in this record (λ = 1.5418 Å (Cu Kα)).

Principal peaks in the range 2θ = 10–80°, most intense first:
index, d (Å), I_rel
4 1 1, 2.213, 100
3 3 2, 2.002, 42
5 5 0, 1.328, 28
4 3 1, 1.842, 25
3 2 1, 2.510, 24
6 3 3, 1.278, 20

Cell and atoms:
Cell lengths 9.3899, 9.3899, 9.3899 Å; angles 90.00, 90.00, 90.00 degrees
Space group I-43m (No. 217)
Asymmetric unit:
Ni 0.0492 0.3632 0.6368 [24 per cell]
W 0.0000 0.0000 0.0000 [2 per cell]
W 0.0964 0.0964 0.7032 [24 per cell]
W 0.1719 0.1719 0.1719 [8 per cell]